(1)
Simulated powder diffractogram
Compound: Eu2Ga9Ir3
Radiation: Cu Kα (λ = 1.5418 Å)
Structure: a cell relaxed with PBE

Cell lengths 7.614, 7.614, 9.778 Å; angles 90.00, 90.00, 60.50 degrees
Sites, in units of the cell vectors:
Eu 0.003 0.669 0.750
Eu 0.331 0.997 0.750
Eu 0.669 0.003 0.250
Eu 0.997 0.331 0.250
Ga 0.002 0.665 0.074
Ga 0.002 0.665 0.426
Ga 0.130 0.870 0.250
Ga 0.334 0.666 0.558
Ga 0.334 0.666 0.942
Ga 0.335 0.998 0.074
Ga 0.335 0.998 0.426
Ga 0.337 0.456 0.250
Ga 0.456 0.337 0.750
Ga 0.544 0.663 0.250
Ga 0.663 0.544 0.750
Ga 0.665 0.002 0.574
Ga 0.665 0.002 0.926
Ga 0.666 0.334 0.058
Ga 0.666 0.334 0.442
Ga 0.870 0.130 0.750
Ga 0.998 0.335 0.574
Ga 0.998 0.335 0.926
Ir 0.000 0.000 0.000
Ir 0.000 0.000 0.500
Ir 0.330 0.330 0.000
Ir 0.330 0.330 0.500
Ir 0.670 0.670 0.000
Ir 0.670 0.670 0.500

Largest 8 diffraction maxima, sorted by position, 2θ from 15° to 90°:
2θ (°), Rel. int.
29.6, 32
29.7, 64
36.2, 40
36.3, 75
36.8, 43
40.8, 100
41.2, 49
45.0, 31

(2)
Simulated powder diffractogram
Compound: FeGeS3
Radiation: Cu Kα (λ = 1.5418 Å)
Structure: a cell relaxed with PBE

Cell lengths 7.718, 7.718, 6.041 Å; angles 96.17, 96.17, 83.76 degrees
Sites, in units of the cell vectors:
Fe 0.085 0.915 0.750
Fe 0.255 0.745 0.250
Fe 0.745 0.255 0.750
Fe 0.915 0.085 0.250
Ge 0.205 0.405 0.716
Ge 0.405 0.205 0.216
Ge 0.595 0.795 0.784
Ge 0.795 0.595 0.284
S 0.005 0.180 0.611
S 0.103 0.663 0.916
S 0.180 0.005 0.111
S 0.282 0.471 0.379
S 0.337 0.897 0.584
S 0.471 0.282 0.879
S 0.529 0.718 0.121
S 0.663 0.103 0.416
S 0.718 0.529 0.621
S 0.820 0.995 0.889
S 0.897 0.337 0.084
S 0.995 0.820 0.389

Largest 8 diffraction maxima, sorted by position, 2θ from 15° to 90°:
2θ (°), Rel. int.
25.0, 100
28.9, 85
29.9, 44
30.5, 78
48.6, 51
52.3, 64
52.7, 64
53.4, 58

(3)
Simulated powder diffractogram
Compound: Mg14NbC
Radiation: Cu Kα (λ = 1.5418 Å)
Structure: a cell relaxed with PBE

Cell lengths 9.972, 6.220, 6.220 Å; angles 58.99, 90.00, 90.00 degrees
Sites, in units of the cell vectors:
Mg 0.000 0.000 0.000
Mg 0.000 0.004 0.499
Mg 0.000 0.498 0.498
Mg 0.000 0.499 0.004
Mg 0.251 0.662 0.662
Mg 0.266 0.158 0.158
Mg 0.267 0.164 0.674
Mg 0.267 0.674 0.164
Mg 0.500 0.507 0.994
Mg 0.500 0.994 0.507
Mg 0.733 0.164 0.674
Mg 0.733 0.674 0.164
Mg 0.734 0.158 0.158
Mg 0.749 0.662 0.662
Nb 0.500 0.505 0.505
C 0.500 0.000 0.000

Largest 8 diffraction maxima, sorted by position, 2θ from 15° to 90°:
2θ (°), Rel. int.
18.9, 26
33.6, 29
36.0, 39
37.8, 57
38.3, 100
50.1, 17
59.4, 18
71.5, 18

(4)
Simulated powder diffractogram
Compound: Na3La5Cl18
Radiation: Cu Kα (λ = 1.5418 Å)
Structure: a cell relaxed with PBE

Cell lengths 7.605, 7.605, 13.240 Å; angles 90.00, 90.00, 120.00 degrees
Sites, in units of the cell vectors:
Na 0.000 0.000 0.000
Na 0.667 0.333 0.130
Na 0.667 0.333 0.870
La 0.000 0.000 0.335
La 0.000 0.000 0.665
La 0.333 0.667 0.167
La 0.333 0.667 0.500
La 0.333 0.667 0.833
Cl 0.048 0.622 0.000
Cl 0.059 0.639 0.336
Cl 0.059 0.639 0.664
Cl 0.275 0.028 0.500
Cl 0.280 0.024 0.174
Cl 0.280 0.024 0.826
Cl 0.361 0.419 0.336
Cl 0.361 0.419 0.664
Cl 0.378 0.426 0.000
Cl 0.574 0.952 0.000
Cl 0.581 0.941 0.336
Cl 0.581 0.941 0.664
Cl 0.745 0.720 0.174
Cl 0.745 0.720 0.826
Cl 0.753 0.725 0.500
Cl 0.972 0.247 0.500
Cl 0.976 0.255 0.174
Cl 0.976 0.255 0.826

Largest 8 diffraction maxima, sorted by position, 2θ from 15° to 90°:
2θ (°), Rel. int.
23.4, 42
24.3, 60
31.0, 37
34.0, 100
41.1, 41
41.7, 79
59.4, 24
65.3, 30